Starting from the PBE geometry in Alexandria, the powder X-ray diffraction pattern of Na2Hg3Sb2 was computed for a wavelength of 1.5418 Å.
Peak positions follow from Bragg's law for the DFT cell and can differ from measured ones.

Largest 8 diffraction maxima, in order of falling intensity, 2θ = 10–80°:
| 2theta | Rel. int. | hkl |
| --- | --- | --- |
| 31.07 | 100 | 1 2 -2 |
| 34.05 | 78 | 0 1 3 |
| 38.40 | 68 | 1 3 1 |
| 20.70 | 59 | 0 2 0 |
| 24.09 | 54 | 1 1 1 |
| 32.92 | 43 | 2 1 -1 |
| 16.07 | 36 | 1 0 0 |
| 38.66 | 32 | 2 1 1 |

Atomic structure:
a b c (Å): 5.746 8.581 8.648
angles (deg): 90.00 106.35 90.00
Fractional coordinates of all 14 atoms:
Na  0.167  0.220  0.119
Na  0.167  0.280  0.619
Na  0.833  0.720  0.381
Na  0.833  0.780  0.881
Hg  0.262  0.516  0.352
Hg  0.262  0.984  0.852
Hg  0.500  0.000  0.500
Hg  0.500  0.500  0.000
Hg  0.738  0.016  0.148
Hg  0.738  0.484  0.648
Sb  0.287  0.657  0.711
Sb  0.287  0.843  0.211
Sb  0.713  0.157  0.789
Sb  0.713  0.343  0.289

Starting from the PBE geometry in Alexandria, the powder X-ray diffraction pattern of LaTbPO was computed for a wavelength of 1.5418 Å.
Peak positions follow from Bragg's law for the DFT cell and can differ from measured ones.

Largest 8 diffraction maxima, in order of falling intensity, 2θ = 10–80°:
| 2theta | Rel. int. | hkl |
| --- | --- | --- |
| 30.06 | 100 | 1 1 1 |
| 28.11 | 56 | 1 0 2 |
| 40.54 | 48 | 2 0 0 |
| 49.59 | 43 | 1 1 4 |
| 19.60 | 41 | 0 0 2 |
| 34.71 | 39 | 1 1 2 |
| 50.06 | 22 | 2 1 2 |
| 67.34 | 21 | 3 1 1 |

Atomic structure:
a b c (Å): 4.450 4.450 9.060
angles (deg): 90.00 90.00 90.00
Fractional coordinates of all 8 atoms:
La  0.250  0.250  0.113
La  0.750  0.750  0.887
Tb  0.250  0.750  0.500
Tb  0.750  0.250  0.500
P  0.250  0.250  0.685
P  0.750  0.750  0.315
O  0.250  0.750  0.000
O  0.750  0.250  0.000

Starting from the PBE geometry in Alexandria, the powder X-ray diffraction pattern of Sc3Bi2 was computed for a wavelength of 1.5418 Å.
Peak positions follow from Bragg's law for the DFT cell and can differ from measured ones.

Largest 8 diffraction maxima, in order of falling intensity, 2θ = 10–80°:
| 2theta | Rel. int. | hkl |
| --- | --- | --- |
| 22.50 | 100 | 2 0 2 |
| 27.83 | 91 | 1 1 2 |
| 24.82 | 81 | 3 0 1 |
| 33.38 | 79 | 1 1 3 |
| 25.57 | 76 | 1 0 3 |
| 41.69 | 62 | 4 1 2 |
| 42.96 | 56 | 0 2 0 |
| 23.95 | 53 | 1 1 1 |

Atomic structure:
a b c (Å): 11.386 4.210 10.977
angles (deg): 90.00 90.00 90.00
Fractional coordinates of all 20 atoms:
Sc  0.055  0.250  0.132
Sc  0.138  0.750  0.569
Sc  0.227  0.250  0.784
Sc  0.273  0.750  0.284
Sc  0.362  0.250  0.069
Sc  0.445  0.750  0.632
Sc  0.555  0.250  0.368
Sc  0.638  0.750  0.931
Sc  0.727  0.250  0.716
Sc  0.773  0.750  0.216
Sc  0.862  0.250  0.431
Sc  0.945  0.750  0.868
Bi  0.016  0.750  0.325
Bi  0.187  0.750  0.985
Bi  0.313  0.250  0.485
Bi  0.484  0.250  0.825
Bi  0.516  0.750  0.175
Bi  0.687  0.750  0.515
Bi  0.813  0.250  0.015
Bi  0.984  0.250  0.675